Record 1
Starting from a structure optimized by DFT (PBE), the XRD peak list of Cu3Pd was simulated for Cu Kα.
Kinematic intensities with the Lorentz-polarization factor, no thermal factor.

Top 8 peaks for 2θ from 5° to 70°, most intense first:
- hkl 1 1 7, 42.2 deg, 2.144 Å, I 100
- hkl 2 0 0, 49.0 deg, 1.861 Å, I 32
- hkl 0 0 14, 49.3 deg, 1.848 Å, I 15
- hkl 0 0 7, 24.1 deg, 3.688 Å, I 5
- hkl 1 0 6, 31.8 deg, 2.817 Å, I 1
- hkl 1 1 0, 34.1 deg, 2.631 Å, I 1
- hkl 1 0 8, 36.8 deg, 2.441 Å, I 1
- hkl 2 0 7, 55.3 deg, 1.662 Å, I 1

Structure:
```
data_Cu3Pd
_cell_length_a 3.7212
_cell_length_b 3.7212
_cell_length_c 25.8695
_cell_angle_alpha 90.00
_cell_angle_beta 90.00
_cell_angle_gamma 90.00
_symmetry_space_group_name_H-M 'P 4 m m'
_symmetry_Int_Tables_number 99
_symmetry_space_group_name_Hall 'P 4 -2'
loop_
_atom_site_label
_atom_site_type_symbol
_atom_site_fract_x
_atom_site_fract_y
_atom_site_fract_z
_atom_site_occupancy
Cu1 Cu 0.0000 0.0000 0.0000 1
Cu2 Cu 0.0000 0.0000 0.1413 1
Cu3 Cu 0.0000 0.0000 0.2855 1
Cu4 Cu 0.0000 0.5000 0.0706 1
Cu5 Cu 0.0000 0.5000 0.2132 1
Cu6 Cu 0.0000 0.5000 0.3578 1
Cu7 Cu 0.0000 0.5000 0.5022 1
Cu8 Cu 0.0000 0.5000 0.6458 1
Cu9 Cu 0.0000 0.5000 0.7886 1
Cu10 Cu 0.0000 0.5000 0.9299 1
Cu11 Cu 0.5000 0.5000 0.4302 1
Cu12 Cu 0.5000 0.5000 0.5744 1
Cu13 Cu 0.5000 0.5000 0.7173 1
Cu14 Cu 0.5000 0.5000 0.8596 1
Pd1 Pd 0.0000 0.0000 0.4299 1
Pd2 Pd 0.0000 0.0000 0.5739 1
Pd3 Pd 0.0000 0.0000 0.7175 1
Pd4 Pd 0.0000 0.0000 0.8595 1
Pd5 Pd 0.5000 0.5000 0.0000 1
Pd6 Pd 0.5000 0.5000 0.1417 1
Pd7 Pd 0.5000 0.5000 0.2855 1
```

Record 2
Starting from a structure optimized by DFT (PBE), the XRD peak list of Cu3Pd was simulated for Cu Kα.
Kinematic intensities with the Lorentz-polarization factor, no thermal factor.

Top 8 peaks for 2θ from 5° to 70°, most intense first:
- hkl 1 1 7, 42.1 deg, 2.145 Å, I 100
- hkl 2 0 0, 48.9 deg, 1.864 Å, I 32
- hkl 0 0 14, 49.4 deg, 1.845 Å, I 15
- hkl 0 0 7, 24.1 deg, 3.690 Å, I 5
- hkl 1 0 6, 31.8 deg, 2.818 Å, I 1
- hkl 1 1 0, 34.0 deg, 2.636 Å, I 1
- hkl 2 0 7, 55.2 deg, 1.664 Å, I 1
- hkl 1 0 8, 36.8 deg, 2.440 Å, I 1

Structure:
```
data_Cu3Pd
_cell_length_a 3.7283
_cell_length_b 3.7283
_cell_length_c 25.8251
_cell_angle_alpha 90.00
_cell_angle_beta 90.00
_cell_angle_gamma 90.00
_symmetry_space_group_name_H-M 'P 4/m m m'
_symmetry_Int_Tables_number 123
_symmetry_space_group_name_Hall '-P 4 2'
loop_
_atom_site_label
_atom_site_type_symbol
_atom_site_fract_x
_atom_site_fract_y
_atom_site_fract_z
_atom_site_occupancy
Cu1 Cu 0.0000 0.0000 0.0000 1
Cu2 Cu 0.0000 0.0000 0.1429 1
Cu3 Cu 0.0000 0.5000 0.0714 1
Cu4 Cu 0.0000 0.5000 0.2143 1
Cu5 Cu 0.0000 0.5000 0.3571 1
Cu6 Cu 0.0000 0.5000 0.5000 1
Cu7 Cu 0.5000 0.5000 0.2857 1
Cu8 Cu 0.5000 0.5000 0.4286 1
Pd1 Pd 0.0000 0.0000 0.2856 1
Pd2 Pd 0.0000 0.0000 0.4285 1
Pd3 Pd 0.5000 0.5000 0.0000 1
Pd4 Pd 0.5000 0.5000 0.1429 1
```